Computed X-ray powder pattern
Compound: TeOs2
Radiation: copper Kα
Structure: the PBE geometry in OQMD
Lines closer than 0.1° are merged.

Cell and atoms:
```
TeOs2
1.0
0.000 3.779 3.779
3.779 0.000 3.779
3.779 3.779 0.000
Te Os
2 4
Direct
0.125 0.125 0.125
0.875 0.875 0.875
0.000 0.500 0.500
0.500 0.000 0.500
0.500 0.500 0.000
0.500 0.500 0.500
```

The 6 most intense peaks (10 to 90 degrees two-theta), by angle:
20.35°, 4.364 Å, rel. 23; 39.54°, 2.279 Å, rel. 100; 41.38°, 2.182 Å, rel. 55; 64.00°, 1.455 Å, rel. 33; 70.47°, 1.336 Å, rel. 30; 85.14°, 1.140 Å, rel. 21